The following is a theoretical XRD peak list of SmPu2S5. It was derived from a PBE-relaxed structure, using Cu Kα (λ = 1.5418 Å).

Peak list (10 most intense, 10 to 90 degrees two-theta, low angle first)
- 11.45°, I 16
- 20.70°, I 59
- 26.11°, I 100
- 33.32°, I 33
- 34.83°, I 26
- 39.55°, I 23
- 39.75°, I 66
- 40.87°, I 19
- 48.97°, I 20
- 53.71°, I 17

Crystal structure
```
data_SmPu2S5
_chemical_formula_sum 'Sm4 Pu8 S20'
_cell_length_a 5.379
_cell_length_b 8.581
_cell_length_c 15.454
_cell_angle_alpha 90.00
_cell_angle_beta 90.00
_cell_angle_gamma 90.00
_space_group_name_H-M_alt 'F m m m'
_space_group_IT_number 69
_space_group_name_Hall '-F 2 2'
loop_
_atom_site_label
_atom_site_fract_x
_atom_site_fract_y
_atom_site_fract_z
Sm1 0.000 0.000 0.000
Pu1 0.000 0.000 0.322
S1 0.000 0.000 0.500
S2 0.000 0.164 0.160
```

The following is a theoretical XRD peak list of Sm3PuS4. It was derived from a PBE-relaxed structure, using Cu Kα (λ = 1.5418 Å).

Peak list (10 most intense, 10 to 90 degrees two-theta, low angle first)
- 15.67°, I 5
- 27.32°, I 86
- 31.65°, I 100
- 45.37°, I 73
- 53.77°, I 43
- 56.37°, I 25
- 66.11°, I 12
- 72.93°, I 18
- 75.15°, I 33
- 83.82°, I 25

Crystal structure
```
data_Sm3PuS4
_chemical_formula_sum 'Sm3 Pu1 S4'
_cell_length_a 5.654
_cell_length_b 5.654
_cell_length_c 5.654
_cell_angle_alpha 90.00
_cell_angle_beta 90.00
_cell_angle_gamma 90.00
_space_group_name_H-M_alt 'P m -3 m'
_space_group_IT_number 221
_space_group_name_Hall '-P 4 2 3'
loop_
_atom_site_label
_atom_site_fract_x
_atom_site_fract_y
_atom_site_fract_z
Sm1 0.000 0.000 0.500
Pu1 0.500 0.500 0.500
S1 0.000 0.000 0.000
S2 0.000 0.500 0.500
```

The following is a theoretical XRD peak list of Sm3PuS4. It was derived from a PBE-relaxed structure, using Cu Kα (λ = 1.5418 Å).

Peak list (10 most intense, 10 to 90 degrees two-theta, low angle first)
- 27.33°, I 86
- 31.66°, I 100
- 45.38°, I 73
- 53.71°, I 14
- 53.83°, I 29
- 56.39°, I 25
- 72.92°, I 12
- 75.06°, I 11
- 75.23°, I 22
- 83.90°, I 17

Crystal structure
```
data_Sm3PuS4
_chemical_formula_sum 'Sm6 Pu2 S8'
_cell_length_a 5.647
_cell_length_b 5.647
_cell_length_c 11.326
_cell_angle_alpha 90.00
_cell_angle_beta 90.00
_cell_angle_gamma 90.00
_space_group_name_H-M_alt 'I 4/m m m'
_space_group_IT_number 139
_space_group_name_Hall '-I 4 2'
loop_
_atom_site_label
_atom_site_fract_x
_atom_site_fract_y
_atom_site_fract_z
Sm1 0.000 0.000 0.000
Sm2 0.000 0.500 0.250
Pu1 0.000 0.000 0.500
S1 0.000 0.000 0.252
S2 0.000 0.500 0.000
```

The following is a theoretical XRD peak list of SmPu4S6. It was derived from a PBE-relaxed structure, using Cu Kα (λ = 1.5418 Å).

Peak list (10 most intense, 10 to 90 degrees two-theta, low angle first)
- 25.39°, I 30
- 26.11°, I 100
- 27.29°, I 79
- 29.80°, I 27
- 31.05°, I 30
- 32.02°, I 56
- 33.59°, I 47
- 43.51°, I 32
- 45.49°, I 26
- 54.06°, I 29

Crystal structure
```
data_SmPu4S6
_chemical_formula_sum 'Sm4 Pu16 S24'
_cell_length_a 3.910
_cell_length_b 13.080
_cell_length_c 20.006
_cell_angle_alpha 90.00
_cell_angle_beta 90.00
_cell_angle_gamma 90.00
_space_group_name_H-M_alt 'C m c m'
_space_group_IT_number 63
_space_group_name_Hall '-C 2c 2'
loop_
_atom_site_label
_atom_site_fract_x
_atom_site_fract_y
_atom_site_fract_z
Sm1 0.000 0.152 0.250
Pu1 0.000 0.093 0.630
Pu2 0.000 0.363 0.541
S1 0.000 0.000 0.000
S2 0.000 0.194 0.750
S3 0.000 0.271 0.087
S4 0.000 0.453 0.668
```

The following is a theoretical XRD peak list of Sm4Tm3PuS8. It was derived from a PBE-relaxed structure, using Cu Kα (λ = 1.5418 Å).

Peak list (10 most intense, 10 to 90 degrees two-theta, low angle first)
- 27.58°, I 22
- 27.79°, I 64
- 32.13°, I 100
- 45.95°, I 36
- 46.22°, I 36
- 54.67°, I 21
- 57.40°, I 19
- 76.26°, I 16
- 76.66°, I 16
- 85.46°, I 12

Crystal structure
```
data_Sm4Tm3PuS8
_chemical_formula_sum 'Sm12 Tm9 Pu3 S24'
_cell_length_a 7.8573
_cell_length_b 7.8573
_cell_length_c 19.4070
_cell_angle_alpha 90.00
_cell_angle_beta 90.00
_cell_angle_gamma 120.00
_space_group_name_H-M_alt 'R -3 m'
_space_group_IT_number 166
_space_group_name_Hall '-R 3 2"'
loop_
_atom_site_label
_atom_site_fract_x
_atom_site_fract_y
_atom_site_fract_z
Sm1 0.0000 0.0000 0.0000
Sm2 0.0000 0.5000 0.0000
Tm1 0.0000 0.5000 0.5000
Pu1 0.0000 0.0000 0.5000
S1 0.0000 0.0000 0.2447
S2 0.0043 0.5022 0.7541
```

The following is a theoretical XRD peak list of PuSn2S6. It was derived from a PBE-relaxed structure, using Cu Kα (λ = 1.5418 Å).

Peak list (10 most intense, 10 to 90 degrees two-theta, low angle first)
- 15.62°, I 41
- 20.98°, I 64
- 21.63°, I 100
- 25.02°, I 83
- 30.21°, I 51
- 30.92°, I 30
- 41.11°, I 28
- 41.39°, I 33
- 44.29°, I 32
- 46.35°, I 26

Crystal structure
```
data_PuSn2S6
_chemical_formula_sum 'Pu2 Sn4 S12'
_cell_length_a 12.139
_cell_length_b 4.391
_cell_length_c 9.061
_cell_angle_alpha 90.00
_cell_angle_beta 107.89
_cell_angle_gamma 90.00
_space_group_name_H-M_alt 'C 1 2/m 1'
_space_group_IT_number 12
loop_
_space_group_symop_operation_xyz
'x,y,z'
'-x,-y,-z'
'-x,y,-z'
'x,-y,z'
'x+1/2,y+1/2,z'
'-x+1/2,-y+1/2,-z'
'-x+1/2,y+1/2,-z'
'x+1/2,-y+1/2,z'
loop_
_atom_site_label
_atom_site_fract_x
_atom_site_fract_y
_atom_site_fract_z
Pu1 0.000 0.000 0.000
Sn1 0.212 0.000 0.659
S1 0.027 0.000 0.732
S2 0.148 0.500 0.516
S3 0.149 0.500 0.079
```

The following is a theoretical XRD peak list of PuSnS4. It was derived from a PBE-relaxed structure, using Cu Kα (λ = 1.5418 Å).

Peak list (10 most intense, 10 to 90 degrees two-theta, low angle first)
- 13.80°, I 100
- 26.66°, I 37
- 29.97°, I 36
- 30.24°, I 47
- 38.58°, I 12
- 38.74°, I 17
- 39.07°, I 23
- 47.07°, I 23
- 49.09°, I 8
- 50.47°, I 13

Crystal structure
```
data_PuSnS4
_chemical_formula_sum 'Pu2 Sn2 S8'
_cell_length_a 14.374
_cell_length_b 3.862
_cell_length_c 6.688
_cell_angle_alpha 90.00
_cell_angle_beta 116.80
_cell_angle_gamma 90.00
_space_group_name_H-M_alt 'C 1 2/m 1'
_space_group_IT_number 12
loop_
_space_group_symop_operation_xyz
'x,y,z'
'-x,-y,-z'
'-x,y,-z'
'x,-y,z'
'x+1/2,y+1/2,z'
'-x+1/2,-y+1/2,-z'
'-x+1/2,y+1/2,-z'
'x+1/2,-y+1/2,z'
loop_
_atom_site_label
_atom_site_fract_x
_atom_site_fract_y
_atom_site_fract_z
Pu1 0.000 0.000 0.000
Sn1 0.000 0.500 0.500
S1 0.112 0.500 0.937
S2 0.113 0.000 0.453
```

The following is a theoretical XRD peak list of PuTlSnS3. It was derived from a PBE-relaxed structure, using Cu Kα (λ = 1.5418 Å).

Peak list (10 most intense, 10 to 90 degrees two-theta, low angle first)
- 13.20°, I 25
- 24.02°, I 29
- 26.59°, I 33
- 27.27°, I 47
- 28.79°, I 49
- 29.96°, I 100
- 36.62°, I 19
- 40.56°, I 19
- 45.34°, I 18
- 47.55°, I 35

Crystal structure
```
data_PuTlSnS3
_chemical_formula_sum 'Pu2 Tl2 Sn2 S6'
_cell_length_a 8.957
_cell_length_b 4.000
_cell_length_c 9.824
_cell_angle_alpha 90.00
_cell_angle_beta 91.51
_cell_angle_gamma 90.00
_space_group_name_H-M_alt 'P 1 21/m 1'
_space_group_IT_number 11
loop_
_space_group_symop_operation_xyz
'x,y,z'
'-x,-y,-z'
'-x,y+1/2,-z'
'x,-y+1/2,z'
loop_
_atom_site_label
_atom_site_fract_x
_atom_site_fract_y
_atom_site_fract_z
Pu1 0.129 0.250 0.140
Tl1 0.335 0.750 0.815
Sn1 0.359 0.750 0.399
S1 0.080 0.250 0.862
S2 0.174 0.250 0.421
S3 0.343 0.750 0.130
```